[1]
Calculated PXRD pattern of V2O3 for copper Kα, from the PBE+U geometry in the Materials Project.
Kinematic intensities with the Lorentz-polarization factor, no thermal factor.

Principal peaks in the range 2θ from 10° to 90°, most intense first:
2θ (°)	I_rel	(hkl)
37.66	1000	1 1 -2
30.73	951	4 0 1
53.51	764	3 1 3
32.47	745	1 1 1
32.86	683	4 0 -2
35.34	671	3 1 0
48.73	644	3 1 -3
58.68	478	7 1 -2
28.90	392	2 0 2
60.04	374	0 2 0
59.53	343	7 1 1
40.20	276	6 0 0

Crystal structure
```
data_V2O3
_chemical_formula_sum 'V12 O18'
_cell_length_a 13.620
_cell_length_b 3.082
_cell_length_c 7.621
_cell_angle_alpha 90.00
_cell_angle_beta 98.84
_cell_angle_gamma 90.00
_space_group_name_H-M_alt 'C 1 2/m 1'
_space_group_IT_number 12
loop_
_space_group_symop_operation_xyz
'x,y,z'
'-x,-y,-z'
'-x,y,-z'
'x,-y,z'
'x+1/2,y+1/2,z'
'-x+1/2,-y+1/2,-z'
'-x+1/2,y+1/2,-z'
'x+1/2,-y+1/2,z'
loop_
_atom_site_label
_atom_site_fract_x
_atom_site_fract_y
_atom_site_fract_z
V1 0.033 0.000 0.316
V2 0.151 0.500 0.995
V3 0.185 0.500 0.632
O1 0.000 0.500 0.500
O2 0.060 0.500 0.169
O3 0.113 0.000 0.791
O4 0.175 0.000 0.464
O5 0.226 0.000 0.129
```

[2]
Calculated PXRD pattern of V4O7 for copper Kα, from the PBE+U geometry in the Materials Project.
Kinematic intensities with the Lorentz-polarization factor, no thermal factor.

Principal peaks in the range 2θ from 10° to 90°, most intense first:
2θ (°)	I_rel	(hkl)
35.18	1000	2 0 -1
29.76	612	1 2 1
19.60	534	1 0 1
15.74	496	1 0 0
23.04	393	0 1 -1
27.06	331	1 1 2
26.29	328	0 2 1
49.56	312	1 -1 3
29.26	260	1 0 2
31.78	251	-1 2 1
20.98	244	1 0 -1
34.63	238	0 1 -2

Crystal structure
```
data_V4O7
_chemical_formula_sum 'V8 O14'
_cell_length_a 5.659
_cell_length_b 6.798
_cell_length_c 7.705
_cell_angle_alpha 64.67
_cell_angle_beta 84.69
_cell_angle_gamma 85.91
_space_group_name_H-M_alt 'P -1'
_space_group_IT_number 2
loop_
_space_group_symop_operation_xyz
'x,y,z'
'-x,-y,-z'
loop_
_atom_site_label
_atom_site_fract_x
_atom_site_fract_y
_atom_site_fract_z
V1 0.093 0.288 0.220
V2 0.102 0.803 0.083
V3 0.260 0.536 0.545
V4 0.357 0.982 0.688
O1 0.004 0.008 0.800
O2 0.099 0.532 0.335
O3 0.115 0.374 0.954
O4 0.208 0.752 0.643
O5 0.317 0.143 0.376
O6 0.391 0.816 0.957
O7 0.454 0.292 0.629
```